(1)
Starting from a structure optimized by DFT (GGA-PBE), the powder diffraction line list of KMg3AlSi3H2O12 was computed for λ = 1.5418 Å (Cu Kα).
Peak positions follow from Bragg's law for the DFT cell and can differ from measured ones.

Cell: 5.3543 5.3554 10.7416 Å, 95.38 95.24 119.98°
Fractional coordinates of all 22 atoms:
K  0.0000  0.0000  0.0000
Mg  0.1705  0.8360  0.4676
Mg  0.5142  0.5130  0.4674
Mg  0.8368  0.1753  0.4666
Al  0.7436  0.4103  0.2076
Si  0.2752  0.6074  0.7340
Si  0.4082  0.7424  0.2038
Si  0.6069  0.2721  0.7339
H  0.1145  0.1132  0.2857
H  0.9061  0.9208  0.6644
O  0.0684  0.6390  0.1494
O  0.1430  0.1432  0.3775
O  0.2216  0.5533  0.5814
O  0.4601  0.9620  0.7935
O  0.4664  0.8020  0.3620
O  0.4683  0.4670  0.7924
O  0.4712  0.4849  0.1504
O  0.5474  0.2122  0.5814
O  0.6252  0.0419  0.1497
O  0.8062  0.4719  0.3739
O  0.8783  0.8847  0.5729
O  0.9624  0.4574  0.7914

Main lines, low angle first (2θ = 10–90°):
| Position (°2θ) | I_rel | (hkl) |
| --- | --- | --- |
| 23.59 | 82 | 1 0 -2 |
| 25.31 | 65 | 0 0 3 |
| 25.57 | 93 | 1 -1 2 |
| 27.77 | 82 | 0 1 2 |
| 33.92 | 100 | 1 -2 1 |
| 36.30 | 57 | -2 1 2 |
| 40.50 | 58 | -2 1 3 |
| 59.83 | 81 | 3 -3 0 |

---

(2)
Starting from a structure optimized by DFT (GGA-PBE), the powder diffraction line list of NaSmTlSn was computed for λ = 1.5418 Å (Cu Kα).
Peak positions follow from Bragg's law for the DFT cell and can differ from measured ones.

Cell: 4.3287 4.8742 5.1976 Å, 90.00 90.00 90.00°
Fractional coordinates of all 4 atoms:
Na  0.0000  0.0000  0.0000
Sm  0.0000  0.5000  0.5000
Tl  0.5000  0.5000  0.0000
Sn  0.5000  0.0000  0.5000

Main lines, low angle first (2θ = 10–90°):
| Position (°2θ) | I_rel | (hkl) |
| --- | --- | --- |
| 18.20 | 17 | 0 1 0 |
| 26.80 | 14 | 1 0 1 |
| 32.59 | 100 | 1 1 1 |
| 34.51 | 21 | 0 0 2 |
| 36.88 | 18 | 0 2 0 |
| 51.40 | 14 | 0 2 2 |
| 60.62 | 17 | 1 1 3 |
| 63.75 | 15 | 1 3 1 |